Structure and calculated powder X-ray diffraction pattern of Co6O5F7 (the GGA+U geometry in the Materials Project; Cu Kα).
Lines closer than 0.1° are merged.

Peak list (8 most intense, 2θ = 10–80°, sorted by position)
d = 3.397 Å, 2θ = 26.23°, intensity 96, (1 0 -1)
d = 3.175 Å, 2θ = 28.10°, intensity 85, (1 0 1)
d = 2.553 Å, 2θ = 35.14°, intensity 100, (0 3 1)
d = 1.750 Å, 2θ = 52.28°, intensity 61, (1 3 -2)
d = 1.699 Å, 2θ = 53.98°, intensity 17, (2 0 -2)
d = 1.686 Å, 2θ = 54.42°, intensity 47, (1 3 2)
d = 1.382 Å, 2θ = 67.79°, intensity 19, (0 3 3)
d = 1.378 Å, 2θ = 68.05°, intensity 28, (3 3 0)

Cell and atoms:
```
data_Co6O5F7
_chemical_formula_sum 'Co6 O5 F7'
_cell_length_a 4.640
_cell_length_b 9.175
_cell_length_c 4.660
_cell_angle_alpha 90.00
_cell_angle_beta 93.87
_cell_angle_gamma 90.00
_symmetry_space_group_name_H-M 'P 1 m 1'
_symmetry_Int_Tables_number 6
_symmetry_space_group_name_Hall 'P -2y'
loop_
_atom_site_label
_atom_site_type_symbol
_atom_site_fract_x
_atom_site_fract_y
_atom_site_fract_z
_atom_site_occupancy
Co1 Co 0.000 0.000 0.000 1
Co2 Co 0.422 0.160 0.492 1
Co3 Co 0.466 0.500 0.517 1
Co4 Co 0.961 0.342 0.019 1
O1 O 0.149 0.500 0.207 1
O2 O 0.150 0.178 0.197 1
O3 O 0.265 0.000 0.690 1
O4 O 0.772 0.500 0.834 1
F1 F 0.261 0.331 0.708 1
F2 F 0.652 0.329 0.318 1
F3 F 0.656 0.000 0.301 1
F4 F 0.755 0.177 0.800 1
```



Structure and calculated powder X-ray diffraction pattern of Co6O5F7 (the GGA+U geometry in the Materials Project; Cu Kα).
Lines closer than 0.1° are merged.

Peak list (8 most intense, 2θ = 10–80°, sorted by position)
d = 3.529 Å, 2θ = 25.24°, intensity 100, (2 0 -2)
d = 3.125 Å, 2θ = 28.57°, intensity 80, (0 2 0)
d = 2.524 Å, 2θ = 35.57°, intensity 91, (1 1 2)
d = 1.774 Å, 2θ = 51.50°, intensity 65, (5 1 -2)
d = 1.764 Å, 2θ = 51.82°, intensity 19, (4 0 -4)
d = 1.662 Å, 2θ = 55.25°, intensity 43, (1 3 2)
d = 1.384 Å, 2θ = 67.70°, intensity 19, (1 3 -4)
d = 1.383 Å, 2θ = 67.75°, intensity 19, (5 3 -2)

Cell and atoms:
```
data_Co6O5F7
_chemical_formula_sum 'Co12 O10 F14'
_cell_length_a 9.255
_cell_length_b 6.250
_cell_length_c 7.671
_cell_angle_alpha 90.00
_cell_angle_beta 116.63
_cell_angle_gamma 90.00
_symmetry_space_group_name_H-M 'C 1 2 1'
_symmetry_Int_Tables_number 5
_symmetry_space_group_name_Hall 'C 2y'
loop_
_atom_site_label
_atom_site_type_symbol
_atom_site_fract_x
_atom_site_fract_y
_atom_site_fract_z
_atom_site_occupancy
Co1 Co 0.000 0.000 0.000 1
Co2 Co 0.000 0.034 0.500 1
Co3 Co 0.164 0.534 0.664 1
Co4 Co 0.177 0.533 0.178 1
O1 O 0.000 0.715 0.000 1
O2 O 0.159 0.839 0.660 1
O3 O 0.160 0.227 0.660 1
F1 F 0.000 0.323 0.000 1
F2 F 0.065 0.530 0.367 1
F3 F 0.103 0.033 0.290 1
F4 F 0.229 0.030 0.036 1
```



Structure and calculated powder X-ray diffraction pattern of CoOF (the GGA+U geometry in the Materials Project; Cu Kα).
Lines closer than 0.1° are merged.

Peak list (8 most intense, 2θ = 10–80°, sorted by position)
d = 3.232 Å, 2θ = 27.60°, intensity 100, (0 1 3)
d = 2.481 Å, 2θ = 36.21°, intensity 26, (1 1 0)
d = 2.470 Å, 2θ = 36.37°, intensity 32, (1 0 3)
d = 2.177 Å, 2θ = 41.48°, intensity 15, (1 1 3)
d = 1.684 Å, 2θ = 54.48°, intensity 17, (1 2 3)
d = 1.674 Å, 2θ = 54.83°, intensity 30, (1 1 6)
d = 1.346 Å, 2θ = 69.91°, intensity 12, (1 0 9)
d = 1.340 Å, 2θ = 70.26°, intensity 11, (2 1 3)

Cell and atoms:
```
data_CoOF
_chemical_formula_sum 'Co6 O6 F6'
_cell_length_a 2.944
_cell_length_b 4.604
_cell_length_c 13.615
_cell_angle_alpha 90.00
_cell_angle_beta 90.00
_cell_angle_gamma 90.00
_symmetry_space_group_name_H-M 'P m n 21'
_symmetry_Int_Tables_number 31
_symmetry_space_group_name_Hall 'P 2ac -2'
loop_
_atom_site_label
_atom_site_type_symbol
_atom_site_fract_x
_atom_site_fract_y
_atom_site_fract_z
_atom_site_occupancy
Co1 Co 0.000 0.148 0.000 1
Co2 Co 0.000 0.273 0.666 1
Co3 Co 0.000 0.292 0.337 1
O1 O 0.000 0.018 0.437 1
O2 O 0.000 0.555 0.232 1
O3 O 0.000 0.882 0.099 1
F1 F 0.000 0.471 0.904 1
F2 F 0.000 0.645 0.564 1
F3 F 0.000 0.927 0.769 1
```



Structure and calculated powder X-ray diffraction pattern of Co3OF5 (the GGA+U geometry in the Materials Project; Cu Kα).
Lines closer than 0.1° are merged.

Peak list (8 most intense, 2θ = 10–80°, sorted by position)
d = 3.425 Å, 2θ = 26.02°, intensity 100, (0 2 0)
d = 3.323 Å, 2θ = 26.83°, intensity 94, (2 0 -2)
d = 2.623 Å, 2θ = 34.18°, intensity 56, (1 1 2)
d = 2.604 Å, 2θ = 34.44°, intensity 49, (3 1 0)
d = 1.779 Å, 2θ = 51.35°, intensity 34, (1 3 2)
d = 1.773 Å, 2θ = 51.54°, intensity 31, (3 3 0)
d = 1.756 Å, 2θ = 52.08°, intensity 30, (1 1 -4)
d = 1.421 Å, 2θ = 65.69°, intensity 40, (1 3 -4)

Cell and atoms:
```
data_Co3OF5
_chemical_formula_sum 'Co12 O4 F20'
_cell_length_a 9.071
_cell_length_b 6.849
_cell_length_c 7.376
_cell_angle_alpha 90.00
_cell_angle_beta 111.40
_cell_angle_gamma 90.00
_symmetry_space_group_name_H-M 'C 1 2/m 1'
_symmetry_Int_Tables_number 12
_symmetry_space_group_name_Hall '-C 2y'
loop_
_atom_site_label
_atom_site_type_symbol
_atom_site_fract_x
_atom_site_fract_y
_atom_site_fract_z
_atom_site_occupancy
Co1 Co 0.000 0.000 0.000 1
Co2 Co 0.000 0.000 0.500 1
Co3 Co 0.163 0.500 0.167 1
Co4 Co 0.191 0.500 0.660 1
O1 O 0.102 0.000 0.304 1
F1 F 0.000 0.302 0.000 1
F2 F 0.055 0.500 0.368 1
F3 F 0.171 0.198 0.664 1
F4 F 0.239 0.000 0.042 1
```